Calculated X-ray diffraction stick pattern of AcIn9Ni2 for a wavelength of 1.5418 Å, from a crystal structure in Alexandria, relaxed with PBE.
Neutral-atom scattering factors, no anomalous dispersion.

Structural model:
Cell lengths 12.4222, 12.4222, 7.4590 Å; angles 90.00, 90.00, 90.00 degrees
Space group I4_1/amd (No. 141, origin choice 2)
Asymmetric unit:
Ac 0.0000 0.2500 0.3750 [4 per cell]
In 0.0000 0.2500 0.8750 [4 per cell]
In 0.1214 0.0641 0.6794 [32 per cell]
Ni 0.0000 0.0000 0.0000 [8 per cell]

The 10 most intense peaks (10° ≤ 2θ ≤ 80°), most intense first:
(3 1 2), 33.12 deg, rel. 100; (4 2 0), 32.23 deg, rel. 51; (5 0 1), 38.18 deg, rel. 42; (1 0 3), 36.87 deg, rel. 21; (5 5 2), 58.04 deg, rel. 21; (3 2 1), 28.54 deg, rel. 20; (3 0 1), 24.59 deg, rel. 17; (3 0 5), 66.65 deg, rel. 16; (4 2 2), 40.49 deg, rel. 14; (5 4 1), 48.48 deg, rel. 12



Calculated X-ray diffraction stick pattern of SrSnRuO6 for a wavelength of 1.5418 Å, from a crystal structure in Alexandria, relaxed with PBE.
Neutral-atom scattering factors, no anomalous dispersion.

Structural model:
Cell lengths 5.0404, 5.0404, 10.1469 Å; angles 90.00, 90.00, 90.00 degrees
Space group P4_2nm (No. 102)
Asymmetric unit:
Sr 0.0000 0.0000 0.0000 [2 per cell]
Sn 0.0000 0.0000 0.3519 [2 per cell]
Ru 0.0000 0.0000 0.6678 [2 per cell]
O 0.1723 0.1723 0.5255 [4 per cell]
O 0.2240 0.2240 0.8230 [4 per cell]
O 0.2472 0.7528 0.7029 [4 per cell]

The 10 most intense peaks (10° ≤ 2θ ≤ 80°), most intense first:
(1 1 0), 24.98 deg, rel. 100; (1 0 3), 31.86 deg, rel. 86; (2 1 3), 48.53 deg, rel. 65; (2 0 0), 35.62 deg, rel. 20; (2 2 0), 51.27 deg, rel. 19; (3 0 3), 61.64 deg, rel. 18; (3 1 0), 57.85 deg, rel. 17; (3 2 3), 73.27 deg, rel. 16; (1 1 6), 60.61 deg, rel. 15; (2 2 6), 77.87 deg, rel. 9



Calculated X-ray diffraction stick pattern of La3Ru5 for a wavelength of 1.5418 Å, from a crystal structure in Alexandria, relaxed with PBE.
Neutral-atom scattering factors, no anomalous dispersion.

Structural model:
Cell lengths 8.4180, 4.8749, 8.4204 Å; angles 90.00, 100.53, 90.00 degrees
Space group P2_1/m (No. 11)
Asymmetric unit:
La 0.0546 0.2500 0.4078 [2 per cell]
La 0.3544 0.7500 0.3547 [2 per cell]
La 0.4076 0.2500 0.0548 [2 per cell]
Ru 0.0246 0.2500 0.8088 [2 per cell]
Ru 0.1120 0.2500 0.1137 [2 per cell]
Ru 0.1940 0.7500 0.9758 [2 per cell]
Ru 0.2949 0.0001 0.7056 [4 per cell]

The 10 most intense peaks (10° ≤ 2θ ≤ 80°), most intense first:
(1 0 3), 36.15 deg, rel. 100; (3 1 -1), 37.30 deg, rel. 85; (3 1 0), 37.45 deg, rel. 83; (2 1 -1), 28.85 deg, rel. 78; (1 1 2), 31.73 deg, rel. 52; (0 2 2), 43.07 deg, rel. 52; (0 0 1), 10.69 deg, rel. 51; (3 0 0), 32.45 deg, rel. 44; (2 0 -3), 35.66 deg, rel. 42; (4 1 -2), 49.18 deg, rel. 42



Calculated X-ray diffraction stick pattern of SrUI6 for a wavelength of 1.5418 Å, from a crystal structure in Alexandria, relaxed with PBE.
Neutral-atom scattering factors, no anomalous dispersion.

Structural model:
Cell lengths 8.1068, 13.9740, 15.5745 Å; angles 90.00, 101.59, 90.00 degrees
Space group C2/c (No. 15)
Asymmetric unit:
Sr 0.0000 0.0851 0.2500 [4 per cell]
U 0.0000 0.4189 0.2500 [4 per cell]
I 0.1003 0.2655 0.1329 [8 per cell]
I 0.1132 0.4316 0.6336 [8 per cell]
I 0.1531 0.0767 0.6325 [8 per cell]

The 10 most intense peaks (10° ≤ 2θ ≤ 80°), most intense first:
(1 3 -3), 26.84 deg, rel. 100; (0 0 2), 11.60 deg, rel. 49; (2 0 2), 27.32 deg, rel. 49; (1 3 5), 38.83 deg, rel. 37; (3 3 -1), 38.53 deg, rel. 35; (1 3 1), 23.46 deg, rel. 24; (1 1 -1), 13.12 deg, rel. 21; (2 0 -6), 38.01 deg, rel. 21; (0 6 0), 38.67 deg, rel. 20; (2 0 0), 22.34 deg, rel. 19



Calculated X-ray diffraction stick pattern of Tl3HgSb for a wavelength of 1.5418 Å, from a crystal structure in Alexandria, relaxed with PBE.
Neutral-atom scattering factors, no anomalous dispersion.

Structural model:
Cell lengths 8.5110, 7.8728, 10.6896 Å; angles 90.00, 116.22, 90.00 degrees
Space group P2_1/c (No. 14)
Asymmetric unit:
Tl 0.1759 0.1636 0.4654 [4 per cell]
Tl 0.2200 0.5340 0.6616 [4 per cell]
Tl 0.3082 0.5145 0.3047 [4 per cell]
Hg 0.4611 0.6685 0.0748 [4 per cell]
Sb 0.0536 0.7186 0.8586 [4 per cell]

The 10 most intense peaks (10° ≤ 2θ ≤ 80°), most intense first:
(2 1 1), 30.95 deg, rel. 100; (0 3 1), 35.46 deg, rel. 95; (2 2 -2), 32.07 deg, rel. 91; (0 1 3), 30.18 deg, rel. 88; (1 1 2), 28.36 deg, rel. 85; (2 1 -3), 29.66 deg, rel. 76; (2 2 0), 32.68 deg, rel. 71; (0 2 2), 29.36 deg, rel. 61; (3 1 -2), 33.73 deg, rel. 46; (2 0 -4), 34.27 deg, rel. 42



Calculated X-ray diffraction stick pattern of Tb8Ho2Al for a wavelength of 1.5418 Å, from a crystal structure in Alexandria, relaxed with PBE.
Neutral-atom scattering factors, no anomalous dispersion.

Structural model:
Cell lengths 18.6952, 5.4049, 7.4485 Å; angles 90.00, 113.42, 90.00 degrees
Space group C2/m (No. 12)
Asymmetric unit:
Tb 0.9999 0.0000 0.2477 [4 per cell]
Tb 0.1332 0.5000 0.3980 [4 per cell]
Tb 0.1337 0.5000 0.8699 [4 per cell]
Tb 0.1821 0.0000 0.1827 [4 per cell]
Ho 0.1931 0.0000 0.6929 [4 per cell]
Al 0.0000 0.5000 0.0000 [2 per cell]

The 10 most intense peaks (10° ≤ 2θ ≤ 80°), most intense first:
(0 2 0), 33.15 deg, rel. 100; (5 1 0), 30.87 deg, rel. 31; (1 3 2), 59.22 deg, rel. 18; (4 0 -2), 26.08 deg, rel. 16; (4 2 -4), 60.40 deg, rel. 15; (4 0 -4), 48.95 deg, rel. 14; (6 0 0), 31.29 deg, rel. 10; (9 1 -4), 58.97 deg, rel. 10; (4 2 -2), 42.66 deg, rel. 8; (10 2 -2), 60.48 deg, rel. 7



Calculated X-ray diffraction stick pattern of CaNd5Te4 for a wavelength of 1.5418 Å, from a crystal structure in Alexandria, relaxed with PBE.
Neutral-atom scattering factors, no anomalous dispersion.

Structural model:
Cell lengths 18.8871, 4.3284, 8.7319 Å; angles 90.00, 102.05, 90.00 degrees
Space group C2/m (No. 12)
Asymmetric unit:
Ca 0.0000 0.0000 0.0000 [2 per cell]
Nd 0.0000 0.0000 0.5000 [2 per cell]
Nd 0.1673 0.5000 0.8083 [4 per cell]
Nd 0.1834 0.5000 0.3555 [4 per cell]
Te 0.0072 0.5000 0.2492 [4 per cell]
Te 0.1651 0.0000 0.0747 [4 per cell]

The 10 most intense peaks (10° ≤ 2θ ≤ 80°), most intense first:
(1 1 -2), 29.04 deg, rel. 100; (7 1 -2), 41.87 deg, rel. 24; (5 1 2), 41.17 deg, rel. 23; (0 2 0), 41.74 deg, rel. 13; (6 2 0), 51.63 deg, rel. 13; (2 0 -4), 41.37 deg, rel. 12; (8 2 -4), 68.67 deg, rel. 9; (3 1 1), 28.42 deg, rel. 9; (4 2 4), 67.67 deg, rel. 8; (2 2 -4), 60.22 deg, rel. 8



Calculated X-ray diffraction stick pattern of PuAu3I9 for a wavelength of 1.5418 Å, from a crystal structure in Alexandria, relaxed with PBE.
Neutral-atom scattering factors, no anomalous dispersion.

Structural model:
Cell lengths 21.4190, 11.9522, 10.5427 Å; angles 90.00, 117.61, 90.00 degrees
Space group Cc (No. 9)
Asymmetric unit:
Pu 0.0000 0.2272 0.0000 [4 per cell]
Au 0.1385 0.4104 0.4480 [4 per cell]
Au 0.2652 0.2084 0.6976 [4 per cell]
Au 0.3590 0.3491 0.0481 [4 per cell]
I 0.0310 0.2519 0.3184 [4 per cell]
I 0.0641 0.4721 0.0544 [4 per cell]
I 0.1261 0.0893 0.0901 [4 per cell]
I 0.2243 0.4078 0.9989 [4 per cell]
I 0.2409 0.2766 0.4471 [4 per cell]
I 0.2890 0.1462 0.9497 [4 per cell]
I 0.3696 0.1344 0.3988 [4 per cell]
I 0.4040 0.4742 0.4252 [4 per cell]
I 0.4952 0.2730 0.2079 [4 per cell]

The 10 most intense peaks (10° ≤ 2θ ≤ 80°), most intense first:
(3 1 -1), 14.77 deg, rel. 100; (4 2 0), 23.94 deg, rel. 51; (0 0 2), 19.00 deg, rel. 34; (3 1 -3), 26.45 deg, rel. 31; (1 1 -3), 27.82 deg, rel. 25; (4 4 0), 35.53 deg, rel. 24; (6 2 -1), 29.36 deg, rel. 20; (5 3 -1), 30.68 deg, rel. 19; (2 2 1), 21.96 deg, rel. 18; (1 1 -2), 18.86 deg, rel. 17